Structure and computed XRD peak list of Pu3Pa (a DFT-relaxed cell (PBE, Alexandria); Cu Kα, 1.54184 Å).
Peak positions follow from Bragg's law for the DFT cell and can differ from measured ones.

Structural model:
```
Pu3Pa
1.0
4.5500 0.0000 0.0000
0.0000 4.5500 0.0000
0.0000 0.0000 4.5500
Pu Pa
3 1
Cartesian
0.0000 0.0000 2.2750
0.0000 2.2750 0.0000
2.2750 0.0000 0.0000
2.2750 2.2750 2.2750
```

Most intense lines, 2θ = 10–90°, in order of rising 2θ:
2θ (°), Rel. int.
34.13, 100
39.62, 50
57.27, 35
68.38, 42
71.88, 12
85.33, 6

---

Structure and computed XRD peak list of PuPa4 (a DFT-relaxed cell (PBE, Alexandria); Cu Kα, 1.54184 Å).
Peak positions follow from Bragg's law for the DFT cell and can differ from measured ones.

Structural model:
```
PuPa4
1.0
-2.5885 3.0729 7.5820
2.5885 -3.0729 7.5820
2.5885 3.0729 -7.5820
Pu Pa
2 8
Cartesian
0.0000 1.5365 1.5186
2.5885 1.5365 6.0635
2.5885 0.0000 0.0000
2.5885 -1.5365 6.1943
2.5885 -0.1093 3.0553
2.5885 2.9636 -3.0553
0.0000 0.0000 7.5820
0.0000 0.1093 10.6373
0.0000 3.1823 4.5267
0.0000 4.6094 1.3878
```

Most intense lines, 2θ = 10–90°, in order of rising 2θ:
2θ (°), Rel. int.
34.27, 100
34.45, 84
34.65, 49
37.68, 31
46.53, 19
52.12, 25
59.29, 19
61.86, 19
61.98, 16
71.16, 23

---

Structure and computed XRD peak list of Rb3PuPa3Te8 (a DFT-relaxed cell (PBE, Alexandria); Cu Kα, 1.54184 Å).
Peak positions follow from Bragg's law for the DFT cell and can differ from measured ones.

Structural model:
```
Rb3PuPa3Te8
1.0
7.6772 0.0000 0.0000
0.0000 7.6772 0.0000
0.0000 0.0000 8.9179
Rb Pu Pa Te
3 1 3 8
Cartesian
0.0000 0.0000 0.0000
0.0000 3.8386 0.0000
3.8386 0.0000 0.0000
3.8386 3.8386 4.4589
0.0000 0.0000 4.4589
0.0000 3.8386 4.4589
3.8386 0.0000 4.4589
1.8953 1.8953 2.6784
1.8953 1.8953 6.2395
1.8953 5.7819 2.6784
1.8953 5.7819 6.2395
5.7819 1.8953 2.6784
5.7819 1.8953 6.2395
5.7819 5.7819 2.6784
5.7819 5.7819 6.2395
```

Most intense lines, 2θ = 10–90°, in order of rising 2θ:
2θ (°), Rel. int.
30.73, 100
33.00, 50
34.54, 17
38.30, 30
47.36, 18
53.16, 12
57.53, 34
62.29, 9
62.48, 17
78.85, 8

---

Structure and computed XRD peak list of Pu2PaRe9 (a DFT-relaxed cell (PBE, Alexandria); Cu Kα, 1.54184 Å).
Peak positions follow from Bragg's law for the DFT cell and can differ from measured ones.

Structural model:
```
Pu2PaRe9
1.0
2.6331 1.5202 9.1299
-2.6331 1.5202 9.1299
0.0000 -3.0405 9.1299
Pu Pa Re
2 1 9
Cartesian
0.0000 0.0000 3.9778
0.0000 0.0000 23.4119
0.0000 0.0000 0.0000
-1.3324 -0.7693 11.4109
0.0000 0.0000 9.1646
0.0000 -1.5386 15.9787
-1.3324 0.7693 15.9787
0.0000 0.0000 13.6948
1.3324 -0.7693 11.4110
0.0000 1.5386 11.4110
0.0000 0.0000 18.2251
1.3324 0.7693 15.9787
```

Most intense lines, 2θ = 10–90°, in order of rising 2θ:
2θ (°), Rel. int.
30.09, 14
32.71, 15
34.05, 21
39.50, 100
39.66, 22
41.31, 10
42.96, 19
64.62, 19
71.67, 22
85.06, 16

---

Structure and computed XRD peak list of PuPaReTc (a DFT-relaxed cell (PBE, Alexandria); Cu Kα, 1.54184 Å).
Peak positions follow from Bragg's law for the DFT cell and can differ from measured ones.

Structural model:
```
PuPaReTc
1.0
0.0000 3.4161 3.4161
3.4161 0.0000 3.4161
3.4161 3.4161 0.0000
Pu Pa Re Tc
1 1 1 1
Cartesian
0.0000 0.0000 0.0000
3.4161 3.4161 3.4161
1.7080 1.7080 1.7080
5.1241 5.1241 5.1241
```

Most intense lines, 2θ = 10–90°, in order of rising 2θ:
2θ (°), Rel. int.
22.54, 3
26.09, 7
37.22, 100
43.95, 2
46.02, 2
53.66, 18
60.61, 3
67.12, 37
79.33, 12
85.22, 2

---

Structure and computed XRD peak list of Pu6PaRh5 (a DFT-relaxed cell (PBE, Alexandria); Cu Kα, 1.54184 Å).
Peak positions follow from Bragg's law for the DFT cell and can differ from measured ones.

Structural model:
```
Pu6PaRh5
1.0
-2.4645 3.4937 7.2167
2.4645 -3.4937 7.2167
2.4645 3.4937 -7.2167
Pu Pa Rh
6 1 5
Cartesian
2.4645 1.6610 -2.5276
0.0000 1.6076 0.0000
2.4645 1.6610 2.5276
0.0000 1.8327 4.6891
0.0000 5.3799 0.0000
0.0000 1.8327 9.7443
0.0000 0.0000 7.2167
2.4645 0.0000 0.0000
0.0000 0.0000 2.4089
2.4645 0.0000 5.0153
0.0000 3.4937 2.2014
0.0000 0.0000 12.0245
```

Most intense lines, 2θ = 10–90°, in order of rising 2θ:
2θ (°), Rel. int.
25.88, 11
36.46, 26
36.65, 100
37.38, 23
52.38, 9
53.21, 17
65.49, 9
65.74, 19
66.95, 15
77.91, 10

---

Structure and computed XRD peak list of Pu2Pa3Rh2 (a DFT-relaxed cell (PBE, Alexandria); Cu Kα, 1.54184 Å).
Peak positions follow from Bragg's law for the DFT cell and can differ from measured ones.

Structural model:
```
Pu2Pa3Rh2
1.0
7.0090 0.0000 0.0000
0.0000 6.0297 0.0000
-6.4102 0.0000 7.3943
Pu Pa Rh
4 6 4
Cartesian
0.0856 0.9595 1.2492
-3.1195 2.0554 4.9464
3.7183 3.9743 2.4479
0.5132 5.0702 6.1450
-1.2587 0.0231 4.4038
1.9464 2.9918 0.7067
3.5045 0.0000 0.0000
0.2994 3.0148 3.6971
-1.3476 3.0379 6.6876
1.8575 6.0066 2.9905
-0.6116 4.3084 1.7036
-3.8167 4.7362 5.4007
4.4155 1.2935 1.9936
1.2104 1.7213 5.6907
```

Most intense lines, 2θ = 10–90°, in order of rising 2θ:
2θ (°), Rel. int.
31.18, 64
31.94, 84
32.06, 33
32.78, 100
34.22, 78
37.71, 89
38.53, 45
39.81, 24
46.88, 47
60.87, 28

---

Structure and computed XRD peak list of PuPa2Rh9 (a DFT-relaxed cell (PBE, Alexandria); Cu Kα, 1.54184 Å).
Peak positions follow from Bragg's law for the DFT cell and can differ from measured ones.

Structural model:
```
PuPa2Rh9
1.0
4.0540 0.0000 0.0000
0.0000 4.0540 0.0000
0.0000 0.0000 12.1468
Pu Pa Rh
1 2 9
Cartesian
0.0000 0.0000 0.0000
0.0000 0.0000 4.0371
0.0000 0.0000 8.1097
0.0000 2.0270 2.0223
0.0000 2.0270 6.0734
0.0000 2.0270 10.1245
2.0270 0.0000 2.0223
2.0270 0.0000 6.0734
2.0270 0.0000 10.1245
2.0270 2.0270 0.0000
2.0270 2.0270 4.0532
2.0270 2.0270 8.0936
```

Most intense lines, 2θ = 10–90°, in order of rising 2θ:
2θ (°), Rel. int.
21.93, 15
31.21, 13
38.48, 100
44.73, 49
50.35, 7
55.55, 6
65.11, 32
69.60, 4
78.24, 38
82.45, 11